Entry 1:
Simulated powder diffractogram of SmMgCd17 for copper Kα, from DFT lattice parameters and positions (PBE).
Peak positions follow from Bragg's law for the DFT cell and can differ from measured ones.

Main lines, by angle (10 to 90 degrees two-theta):
2theta	d/Å	I/Imax
30.93	2.891	34
31.19	2.867	17
35.22	2.548	21
35.71	2.515	100
35.91	2.501	43
40.13	2.247	27
55.03	1.669	17
63.52	1.465	14

Structural model:
Cell lengths 10.0148, 10.0148, 15.2880 Å; angles 90.00, 90.00, 120.00 degrees
Space group R3m (No. 160, hexagonal axes)
Asymmetric unit:
1 Sm 0.0000 0.0000 0.0000
2 Mg 0.0000 0.0000 0.6462
3 Cd 0.0000 0.0000 0.2494
4 Cd 0.0000 0.0000 0.4392
5 Cd 0.0023 0.3050 0.3330
6 Cd 0.0298 0.5149 0.1934
7 Cd 0.0473 0.5236 0.8235
8 Cd 0.0946 0.5473 0.4777

=====

Entry 2:
Simulated powder diffractogram of Os5Rh7 for copper Kα, from DFT lattice parameters and positions (PBE).
Peak positions follow from Bragg's law for the DFT cell and can differ from measured ones.

Main lines, by angle (10 to 90 degrees two-theta):
2theta	d/Å	I/Imax
10.83	8.166	5
40.64	2.220	100
47.28	1.922	49
69.08	1.360	26
83.32	1.160	19
83.42	1.159	19
87.91	1.111	6
88.07	1.109	6

Structural model:
Cell lengths 5.4317, 16.3317, 3.8441 Å; angles 90.00, 90.00, 90.00 degrees
Space group Cmmm (No. 65)
Asymmetric unit:
1 Os 0.0000 0.0000 0.0000
2 Os 0.0000 0.1666 0.0000
3 Os 0.2500 0.2500 0.5000
4 Rh 0.0000 0.3292 0.0000
5 Rh 0.0000 0.5000 0.0000
6 Rh 0.2444 0.0830 0.5000

=====

Entry 3:
Simulated powder diffractogram of Er5In2Pb for copper Kα, from DFT lattice parameters and positions (PBE).
Peak positions follow from Bragg's law for the DFT cell and can differ from measured ones.

Main lines, by angle (10 to 90 degrees two-theta):
2theta	d/Å	I/Imax
30.56	2.925	13
31.20	2.867	23
31.64	2.828	100
34.27	2.616	68
34.85	2.575	23
49.25	1.850	12
54.74	1.677	16
64.24	1.450	19

Structural model:
Cell lengths 8.2737, 8.2737, 13.1567 Å; angles 90.00, 90.00, 90.00 degrees
Space group I4/mcm (No. 140)
Asymmetric unit:
1 Er 0.0000 0.0000 0.0000
2 Er 0.1543 0.3457 0.1511
3 In 0.1419 0.3581 0.5000
4 Pb 0.0000 0.0000 0.2500

=====

Entry 4:
Simulated powder diffractogram of Al3Ni4Au for copper Kα, from DFT lattice parameters and positions (PBE).
Peak positions follow from Bragg's law for the DFT cell and can differ from measured ones.

Main lines, by angle (10 to 90 degrees two-theta):
2theta	d/Å	I/Imax
13.58	6.522	23
22.55	3.942	27
26.42	3.374	37
35.01	2.563	27
35.73	2.513	17
42.67	2.119	100
46.05	1.971	42
82.91	1.164	28

Structural model:
Cell lengths 3.9422, 3.9422, 6.5218 Å; angles 90.00, 90.00, 90.00 degrees
Space group P4/mmm (No. 123)
Asymmetric unit:
1 Al 0.0000 0.0000 0.0000
2 Al 0.0000 0.0000 0.5000
3 Al 0.5000 0.5000 0.0000
4 Ni 0.0000 0.5000 0.2266
5 Au 0.5000 0.5000 0.5000

=====

Entry 5:
Simulated powder diffractogram of AgHg3I for copper Kα, from DFT lattice parameters and positions (PBE).
Peak positions follow from Bragg's law for the DFT cell and can differ from measured ones.

Main lines, by angle (10 to 90 degrees two-theta):
2theta	d/Å	I/Imax
25.35	3.514	18
29.21	3.057	20
29.54	3.024	100
30.65	2.917	40
30.79	2.904	12
39.16	2.301	26
40.29	2.239	12
46.77	1.942	20

Structural model:
Cell lengths 12.2277, 8.1911, 8.9857 Å; angles 90.00, 132.56, 90.00 degrees
Space group C2 (No. 5)
Asymmetric unit:
1 Ag 0.2498 0.0000 0.0003
2 Hg 0.0723 0.0433 0.3680
3 Hg 0.0728 0.4591 0.3675
4 Hg 0.1858 0.7504 0.1966
5 I 0.2423 0.2505 0.1971

=====

Entry 6:
Simulated powder diffractogram of ErHfNi2 for copper Kα, from DFT lattice parameters and positions (PBE).
Peak positions follow from Bragg's law for the DFT cell and can differ from measured ones.

Main lines, by angle (10 to 90 degrees two-theta):
2theta	d/Å	I/Imax
26.94	3.310	15
27.43	3.252	26
38.82	2.320	100
39.18	2.299	52
48.19	1.888	13
56.61	1.626	17
70.05	1.343	15
70.76	1.331	33

Structural model:
Cell lengths 3.2519, 3.2519, 6.6195 Å; angles 90.00, 90.00, 90.00 degrees
Space group P4/mmm (No. 123)
Asymmetric unit:
1 Er 0.0000 0.0000 0.0000
2 Hf 0.0000 0.0000 0.5000
3 Ni 0.5000 0.5000 0.2872

=====

Entry 7:
Simulated powder diffractogram of ScTl5 for copper Kα, from DFT lattice parameters and positions (PBE).
Peak positions follow from Bragg's law for the DFT cell and can differ from measured ones.

Main lines, by angle (10 to 90 degrees two-theta):
2theta	d/Å	I/Imax
27.85	3.204	24
29.74	3.004	33
30.53	2.928	44
32.58	2.748	51
33.24	2.695	100
34.52	2.598	74
51.26	1.782	24
51.93	1.761	24

Structural model:
Cell lengths 12.0496, 3.5218, 8.3902 Å; angles 90.00, 106.65, 90.00 degrees
Space group Cm (No. 8)
Asymmetric unit:
1 Sc 0.0000 0.0000 0.0000
2 Tl 0.0405 0.0000 0.6230
3 Tl 0.2149 0.5000 0.9887
4 Tl 0.2237 0.5000 0.3897
5 Tl 0.3287 0.0000 0.7374
6 Tl 0.4369 0.0000 0.2676

=====

Entry 8:
Simulated powder diffractogram of SmMg4Tl7 for copper Kα, from DFT lattice parameters and positions (PBE).
Peak positions follow from Bragg's law for the DFT cell and can differ from measured ones.

Main lines, by angle (10 to 90 degrees two-theta):
2theta	d/Å	I/Imax
24.82	3.588	39
25.10	3.547	54
29.75	3.003	100
31.06	2.879	49
31.36	2.853	60
32.90	2.722	59
35.55	2.526	48
43.55	2.078	39

Structural model:
Cell lengths 14.3988, 6.0057, 9.2338 Å; angles 90.00, 122.39, 90.00 degrees
Space group C2/m (No. 12)
Asymmetric unit:
1 Sm 0.0000 0.0000 0.0000
2 Mg 0.0259 0.5000 0.6962
3 Mg 0.1947 0.5000 0.3351
4 Tl 0.0000 0.5000 0.0000
5 Tl 0.0687 0.0000 0.4041
6 Tl 0.2070 0.0000 0.8906
7 Tl 0.2262 0.5000 0.6877

=====

What did the fifth record say?
Simulated powder diffractogram of AgHg3I for copper Kα, from DFT lattice parameters and positions (PBE).
Peak positions follow from Bragg's law for the DFT cell and can differ from measured ones.

Main lines, by angle (10 to 90 degrees two-theta):
2theta	d/Å	I/Imax
25.35	3.514	18
29.21	3.057	20
29.54	3.024	100
30.65	2.917	40
30.79	2.904	12
39.16	2.301	26
40.29	2.239	12
46.77	1.942	20

Structural model:
Cell lengths 12.2277, 8.1911, 8.9857 Å; angles 90.00, 132.56, 90.00 degrees
Space group C2 (No. 5)
Asymmetric unit:
1 Ag 0.2498 0.0000 0.0003
2 Hg 0.0723 0.0433 0.3680
3 Hg 0.0728 0.4591 0.3675
4 Hg 0.1858 0.7504 0.1966
5 I 0.2423 0.2505 0.1971